The following is a simulated powder diffractogram of MgAl2Co2O6. It was derived from a crystal structure in the Materials Project, relaxed with GGA+U, using a wavelength of 1.5418 Å.

Most intense lines, 10 to 80 degrees two-theta, low angle first:
hkl	2θ (°)	I_rel
1 1 0	21.4	29.0
1 1 1	23.8	34.3
1 2 0	36.0	100.0
1 2 1	40.4	19.4
2 1 0	40.4	18.8
1 -1 2	40.6	19.3
-1 1 1	51.7	32.4
2 1 -1	51.8	37.3
2 1 3	52.1	67.1
3 3 1	64.7	53.5

Structural model:
Cell: 4.9857 4.9877 5.7213 Å, 89.74 64.40 60.04°
Sites, in units of the cell vectors:
1 Mg 0.0000 0.0000 0.0000
2 Al 0.2983 0.3511 0.0504
3 Al 0.7017 0.6489 0.9496
4 Co 0.3376 0.8304 0.4922
5 Co 0.6624 0.1696 0.5078
6 O 0.1586 0.2678 0.7838
7 O 0.2106 0.0558 0.2171
8 O 0.4820 0.5764 0.7833
9 O 0.5180 0.4236 0.2167
10 O 0.7894 0.9442 0.7829
11 O 0.8414 0.7322 0.2162